# NaErPO4F
Calculated X-ray powder pattern, copper Kα. Input: a DFT-relaxed cell (PBE, Alexandria).
Peak positions follow from Bragg's law for the DFT cell and can differ from measured ones.

Atomic structure:
```
data_NaErPO4F
_cell_length_a 8.9637
_cell_length_b 6.9469
_cell_length_c 6.4961
_cell_angle_alpha 90.00
_cell_angle_beta 106.19
_cell_angle_gamma 90.00
_space_group_name_H-M_alt 'C 1 2/m 1'
_space_group_IT_number 12
loop_
_space_group_symop_operation_xyz
'x,y,z'
'-x,-y,-z'
'-x,y,-z'
'x,-y,z'
'x+1/2,y+1/2,z'
'-x+1/2,-y+1/2,-z'
'-x+1/2,y+1/2,-z'
'x+1/2,-y+1/2,z'
loop_
_atom_site_label
_atom_site_fract_x
_atom_site_fract_y
_atom_site_fract_z
Na1 0.0000 0.2075 0.0000
Er1 0.2170 0.0000 0.6158
P1 0.1540 0.5000 0.7758
O1 0.0193 0.5000 0.2314
O2 0.1963 0.3236 0.6545
O3 0.2443 0.0000 0.9895
F1 0.0175 0.0000 0.3119
```

Largest 12 diffraction maxima, in order of rising 2θ, 2θ = 5–70°:
| 2theta | I/Imax | (hkl) |
| --- | --- | --- |
| 14.20 | 834 | 0 0 1 |
| 19.76 | 731 | 1 1 -1 |
| 20.64 | 756 | 2 0 0 |
| 25.65 | 929 | 0 2 0 |
| 28.28 | 730 | 2 0 1 |
| 29.43 | 396 | 0 2 1 |
| 30.48 | 899 | 1 1 -2 |
| 33.13 | 1000 | 3 1 -1 |
| 38.50 | 578 | 3 1 -2 |
| 41.94 | 478 | 1 3 -1 |
| 48.31 | 383 | 1 3 -2 |
| 52.72 | 371 | 0 4 0 |

# RbNaErF6
Calculated X-ray powder pattern, copper Kα. Input: a DFT-relaxed cell (PBE, Alexandria).
Peak positions follow from Bragg's law for the DFT cell and can differ from measured ones.

Atomic structure:
```
data_RbNaErF6
_cell_length_a 7.0735
_cell_length_b 8.2835
_cell_length_c 11.8829
_cell_angle_alpha 90.00
_cell_angle_beta 90.00
_cell_angle_gamma 90.00
_space_group_name_H-M_alt 'I m m a'
_space_group_IT_number 74
_space_group_name_Hall '-I 2b 2'
loop_
_atom_site_label
_atom_site_fract_x
_atom_site_fract_y
_atom_site_fract_z
Rb1 0.0000 0.2500 0.1158
Na1 0.2500 0.2500 0.7500
Er1 0.0000 0.0000 0.5000
F1 0.0000 0.2500 0.4470
F2 0.0000 0.2500 0.8782
F3 0.2153 0.0381 0.6245
```

Largest 12 diffraction maxima, in order of rising 2θ, 2θ = 5–70°:
| 2theta | I/Imax | (hkl) |
| --- | --- | --- |
| 14.57 | 475 | 1 0 1 |
| 14.91 | 463 | 0 0 2 |
| 25.18 | 181 | 2 0 0 |
| 25.78 | 473 | 1 0 3 |
| 26.03 | 1000 | 1 2 1 |
| 26.23 | 232 | 0 2 2 |
| 29.39 | 307 | 2 0 2 |
| 40.02 | 168 | 1 0 5 |
| 44.73 | 150 | 3 0 3 |
| 44.89 | 160 | 3 2 1 |
| 45.49 | 475 | 2 2 4 |
| 51.44 | 146 | 1 4 3 |

# Nd2ErF11
Calculated X-ray powder pattern, copper Kα. Input: a DFT-relaxed cell (PBE, Alexandria).
Peak positions follow from Bragg's law for the DFT cell and can differ from measured ones.

Atomic structure:
```
data_Nd2ErF11
_cell_length_a 8.6779
_cell_length_b 10.4339
_cell_length_c 11.2395
_cell_angle_alpha 90.00
_cell_angle_beta 90.00
_cell_angle_gamma 90.00
_space_group_name_H-M_alt 'I b a m'
_space_group_IT_number 72
_space_group_name_Hall '-I 2 2c'
loop_
_atom_site_label
_atom_site_fract_x
_atom_site_fract_y
_atom_site_fract_z
Nd1 0.1648 0.1908 0.0000
Er1 0.0000 0.5000 0.2500
F1 0.0000 0.0000 0.0000
F2 0.0981 0.3329 0.1476
F3 0.1063 0.1872 0.5000
F4 0.1953 0.4274 0.3644
```

Largest 12 diffraction maxima, in order of rising 2θ, 2θ = 5–70°:
| 2theta | I/Imax | (hkl) |
| --- | --- | --- |
| 13.27 | 365 | 1 1 0 |
| 20.66 | 1000 | 1 1 2 |
| 21.39 | 360 | 1 2 1 |
| 23.26 | 776 | 0 2 2 |
| 23.58 | 521 | 2 1 1 |
| 25.94 | 302 | 2 0 2 |
| 27.63 | 208 | 1 3 0 |
| 42.04 | 239 | 2 2 4 |
| 42.66 | 270 | 1 3 4 |
| 43.55 | 254 | 1 4 3 |
| 43.78 | 429 | 3 3 2 |
| 47.63 | 254 | 1 5 2 |

# ErOF3
Calculated X-ray powder pattern, copper Kα. Input: a DFT-relaxed cell (PBE, Alexandria).
Peak positions follow from Bragg's law for the DFT cell and can differ from measured ones.

Atomic structure:
```
data_ErOF3
_cell_length_a 8.2834
_cell_length_b 6.9722
_cell_length_c 8.6590
_cell_angle_alpha 90.00
_cell_angle_beta 121.27
_cell_angle_gamma 90.00
_space_group_name_H-M_alt 'P 1 21/c 1'
_space_group_IT_number 14
loop_
_space_group_symop_operation_xyz
'x,y,z'
'-x,-y,-z'
'-x,y+1/2,-z+1/2'
'x,-y+1/2,z+1/2'
loop_
_atom_site_label
_atom_site_fract_x
_atom_site_fract_y
_atom_site_fract_z
Er1 0.0031 0.2500 0.0015
O1 0.4990 0.0883 0.9997
F1 0.0051 0.2501 0.2525
F2 0.1860 0.5024 0.0903
F3 0.1859 0.5024 0.5944
```

Largest 12 diffraction maxima, in order of rising 2θ, 2θ = 5–70°:
| 2theta | I/Imax | (hkl) |
| --- | --- | --- |
| 12.50 | 1000 | 1 0 0 |
| 20.51 | 272 | 1 0 -2 |
| 24.09 | 419 | 0 0 2 |
| 25.16 | 181 | 2 0 0 |
| 25.55 | 105 | 0 2 0 |
| 28.54 | 271 | 1 2 0 |
| 35.41 | 146 | 2 2 -2 |
| 36.16 | 193 | 2 2 0 |
| 41.88 | 99 | 1 2 2 |
| 46.47 | 115 | 3 2 0 |
| 51.25 | 105 | 1 2 -4 |
| 51.37 | 104 | 3 2 -4 |

# ErPO4F
Calculated X-ray powder pattern, copper Kα. Input: a DFT-relaxed cell (PBE, Alexandria).
Peak positions follow from Bragg's law for the DFT cell and can differ from measured ones.

Atomic structure:
```
data_ErPO4F
_cell_length_a 9.0985
_cell_length_b 6.9799
_cell_length_c 6.4587
_cell_angle_alpha 90.00
_cell_angle_beta 106.39
_cell_angle_gamma 90.00
_space_group_name_H-M_alt 'C 1 2/m 1'
_space_group_IT_number 12
loop_
_space_group_symop_operation_xyz
'x,y,z'
'-x,-y,-z'
'-x,y,-z'
'x,-y,z'
'x+1/2,y+1/2,z'
'-x+1/2,-y+1/2,-z'
'-x+1/2,y+1/2,-z'
'x+1/2,-y+1/2,z'
loop_
_atom_site_label
_atom_site_fract_x
_atom_site_fract_y
_atom_site_fract_z
Er1 0.2054 0.0000 0.1124
P1 0.1449 0.5000 0.2721
O1 0.0301 0.5000 0.7731
O2 0.1971 0.3252 0.1615
O3 0.2183 0.5000 0.5155
F1 0.0148 0.0000 0.8147
```

Largest 12 diffraction maxima, in order of rising 2θ, 2θ = 5–70°:
| 2theta | I/Imax | (hkl) |
| --- | --- | --- |
| 14.29 | 1000 | 0 0 1 |
| 19.70 | 668 | 1 1 -1 |
| 20.35 | 617 | 2 0 0 |
| 25.52 | 797 | 0 2 0 |
| 28.14 | 408 | 2 0 1 |
| 29.37 | 221 | 0 2 1 |
| 30.57 | 556 | 1 1 -2 |
| 32.71 | 441 | 3 1 -1 |
| 41.73 | 200 | 1 3 -1 |
| 48.24 | 302 | 1 3 -2 |
| 49.74 | 207 | 3 3 -1 |
| 51.94 | 261 | 5 1 -1 |

# ErSO4F
Calculated X-ray powder pattern, copper Kα. Input: a DFT-relaxed cell (PBE, Alexandria).
Peak positions follow from Bragg's law for the DFT cell and can differ from measured ones.

Atomic structure:
```
data_ErSO4F
_cell_length_a 8.8972
_cell_length_b 6.9141
_cell_length_c 6.4026
_cell_angle_alpha 90.00
_cell_angle_beta 105.79
_cell_angle_gamma 90.00
_space_group_name_H-M_alt 'C 1 2/m 1'
_space_group_IT_number 12
loop_
_space_group_symop_operation_xyz
'x,y,z'
'-x,-y,-z'
'-x,y,-z'
'x,-y,z'
'x+1/2,y+1/2,z'
'-x+1/2,-y+1/2,-z'
'-x+1/2,y+1/2,-z'
'x+1/2,-y+1/2,z'
loop_
_atom_site_label
_atom_site_fract_x
_atom_site_fract_y
_atom_site_fract_z
Er1 0.2079 0.0000 0.1239
S1 0.1481 0.5000 0.2757
O1 0.0194 0.5000 0.7448
O2 0.1917 0.3300 0.1550
O3 0.2414 0.5000 0.5013
F1 0.0211 0.0000 0.8190
```

Largest 12 diffraction maxima, in order of rising 2θ, 2θ = 5–70°:
| 2theta | I/Imax | (hkl) |
| --- | --- | --- |
| 14.38 | 1000 | 0 0 1 |
| 19.97 | 773 | 1 1 -1 |
| 20.75 | 745 | 2 0 0 |
| 25.77 | 969 | 0 2 0 |
| 28.44 | 486 | 2 0 1 |
| 30.88 | 712 | 1 1 -2 |
| 33.31 | 254 | 2 2 0 |
| 33.42 | 465 | 3 1 -1 |
| 35.99 | 234 | 1 1 2 |
| 42.19 | 288 | 1 3 -1 |
| 48.76 | 291 | 1 3 -2 |
| 50.17 | 244 | 1 1 3 |

# ErS2O6F2
Calculated X-ray powder pattern, copper Kα. Input: a DFT-relaxed cell (PBE, Alexandria).
Peak positions follow from Bragg's law for the DFT cell and can differ from measured ones.

Atomic structure:
```
data_ErS2O6F2
_cell_length_a 5.8488
_cell_length_b 5.8488
_cell_length_c 5.5836
_cell_angle_alpha 90.00
_cell_angle_beta 90.00
_cell_angle_gamma 120.00
_space_group_name_H-M_alt 'P -3 m 1'
_space_group_IT_number 164
_space_group_name_Hall '-P 3 2"'
loop_
_atom_site_label
_atom_site_fract_x
_atom_site_fract_y
_atom_site_fract_z
Er1 0.0000 0.0000 0.0000
S1 0.3333 0.6667 0.7528
O1 0.1876 0.3752 0.7870
F1 0.3333 0.6667 0.4638
```

Largest 12 diffraction maxima, in order of rising 2θ, 2θ = 5–70°:
| 2theta | I/Imax | (hkl) |
| --- | --- | --- |
| 15.87 | 223 | 0 0 1 |
| 17.51 | 281 | 1 0 0 |
| 23.72 | 1000 | 1 0 1 |
| 30.57 | 365 | 1 1 0 |
| 34.63 | 129 | 1 1 1 |
| 36.76 | 247 | 1 0 2 |
| 39.05 | 195 | 2 0 1 |
| 44.89 | 108 | 1 1 2 |
| 48.53 | 162 | 2 0 2 |
| 50.39 | 241 | 2 1 1 |
| 52.37 | 113 | 0 1 3 |
| 58.45 | 89 | 2 1 2 |

# ErSeO3F
Calculated X-ray powder pattern, copper Kα. Input: a DFT-relaxed cell (PBE, Alexandria).
Peak positions follow from Bragg's law for the DFT cell and can differ from measured ones.

Atomic structure:
```
data_ErSeO3F
_cell_length_a 6.6133
_cell_length_b 6.9574
_cell_length_c 7.2096
_cell_angle_alpha 90.00
_cell_angle_beta 98.31
_cell_angle_gamma 90.00
_space_group_name_H-M_alt 'P 1 21/c 1'
_space_group_IT_number 14
loop_
_space_group_symop_operation_xyz
'x,y,z'
'-x,-y,-z'
'-x,y+1/2,-z+1/2'
'x,-y+1/2,z+1/2'
loop_
_atom_site_label
_atom_site_fract_x
_atom_site_fract_y
_atom_site_fract_z
Er1 0.1388 0.1415 0.3252
Se1 0.3509 0.6214 0.2887
O1 0.1730 0.0289 0.6473
O2 0.1741 0.6913 0.7780
O3 0.4833 0.1879 0.3611
F1 0.1660 0.1204 0.0269
```

Largest 12 diffraction maxima, in order of rising 2θ, 2θ = 5–70°:
| 2theta | I/Imax | (hkl) |
| --- | --- | --- |
| 13.53 | 274 | 1 0 0 |
| 18.61 | 179 | 1 1 0 |
| 24.96 | 443 | 0 0 2 |
| 26.68 | 231 | 1 0 -2 |
| 28.55 | 1000 | 0 2 1 |
| 30.19 | 667 | 2 1 0 |
| 31.15 | 324 | 2 1 -1 |
| 34.28 | 258 | 2 1 1 |
| 40.04 | 147 | 2 0 2 |
| 48.75 | 168 | 2 3 -1 |
| 50.08 | 179 | 1 2 3 |
| 50.96 | 177 | 2 3 1 |

# RbErPbF6
Calculated X-ray powder pattern, copper Kα. Input: a DFT-relaxed cell (PBE, Alexandria).
Peak positions follow from Bragg's law for the DFT cell and can differ from measured ones.

Atomic structure:
```
data_RbErPbF6
_cell_length_a 6.6547
_cell_length_b 6.6547
_cell_length_c 3.6221
_cell_angle_alpha 90.00
_cell_angle_beta 90.00
_cell_angle_gamma 120.00
_space_group_name_H-M_alt 'P -6'
_space_group_IT_number 174
loop_
_space_group_symop_operation_xyz
'x,y,z'
'-x+y,-x,-z'
'-y,x-y,z'
'x,y,-z'
'-x+y,-x,z'
'-y,x-y,-z'
loop_
_atom_site_label
_atom_site_fract_x
_atom_site_fract_y
_atom_site_fract_z
Rb1 0.0000 0.0000 0.0000
Er1 0.6667 0.3333 0.0000
Pb1 0.3333 0.6667 0.5000
F1 0.0475 0.4292 0.0000
F2 0.4105 0.2758 0.5000
```

Largest 12 diffraction maxima, in order of rising 2θ, 2θ = 5–70°:
| 2theta | I/Imax | (hkl) |
| --- | --- | --- |
| 15.37 | 296 | 1 0 0 |
| 26.79 | 1000 | 1 1 0 |
| 29.12 | 839 | 1 0 1 |
| 31.04 | 38 | 2 0 0 |
| 39.98 | 598 | 2 0 1 |
| 41.45 | 36 | 2 1 0 |
| 47.32 | 275 | 3 0 0 |
| 48.78 | 573 | 2 1 1 |
| 50.39 | 108 | 0 0 2 |
| 55.21 | 160 | 2 2 0 |
| 57.98 | 246 | 1 1 2 |
| 63.63 | 212 | 3 1 1 |